Starting from a structure optimized by DFT (GGA-PBE), the powder diffractogram of BaNd2BeO5 was simulated for Cu Ka.

Most intense lines, 10° ≤ 2θ ≤ 80°, by angle:
index  two_theta  d [Å]  I_rel
0 2 1  27.88  3.200  31.8
2 1 -1  28.68  3.113  29.3
2 1 1  28.90  3.089  28.4
2 0 -2  29.84  2.995  22.5
0 1 3  30.26  2.953  100.0
2 2 -1  36.92  2.434  16.4
2 2 1  37.10  2.423  19.9
3 1 0  38.60  2.333  14.7
0 1 4  38.91  2.314  14.8
4 0 0  48.83  1.865  14.3

Structure:
Cell: 7.4616 6.7673 9.8525 Å, 90.00 90.82 90.00°
Sites, in units of the cell vectors:
Ba  0.0203  0.0820  0.3268
Ba  0.0203  0.4180  0.8268
Ba  0.9797  0.5820  0.1732
Ba  0.9797  0.9180  0.6732
Nd  0.2569  0.5908  0.4793
Nd  0.2569  0.9092  0.9793
Nd  0.4794  0.0827  0.3236
Nd  0.4794  0.4173  0.8236
Nd  0.5206  0.5827  0.1764
Nd  0.5206  0.9173  0.6764
Nd  0.7431  0.0908  0.0207
Nd  0.7431  0.4092  0.5207
Be  0.2614  0.1930  0.5967
Be  0.2614  0.3070  0.0967
Be  0.7386  0.6930  0.9033
Be  0.7386  0.8070  0.4033
O  0.0689  0.1922  0.0616
O  0.0689  0.3078  0.5616
O  0.2801  0.1308  0.7683
O  0.2801  0.3692  0.2683
O  0.2810  0.5177  0.0096
O  0.2810  0.9823  0.5096
O  0.2851  0.6651  0.7152
O  0.2851  0.8349  0.2152
O  0.4412  0.1786  0.0659
O  0.4412  0.3214  0.5659
O  0.5588  0.6786  0.4341
O  0.5588  0.8214  0.9341
O  0.7149  0.1651  0.7848
O  0.7149  0.3349  0.2848
O  0.7190  0.0177  0.4904
O  0.7190  0.4823  0.9904
O  0.7199  0.6308  0.7317
O  0.7199  0.8692  0.2317
O  0.9311  0.6922  0.4384
O  0.9311  0.8078  0.9384

***

Starting from a structure optimized by DFT (GGA-PBE), the powder diffractogram of LiHg3 was simulated for Cu Ka.

Most intense lines, 10° ≤ 2θ ≤ 80°, by angle:
index  two_theta  d [Å]  I_rel
1 1 0  13.22  6.695  40.4
2 2 0  26.63  3.348  100.0
0 2 1  28.07  3.179  95.1
1 3 1  33.63  2.665  99.5
2 4 0  34.49  2.600  79.9
0 4 1  35.65  2.519  42.8
2 2 1  36.91  2.435  79.0
0 6 0  37.74  2.384  62.1
3 1 1  44.48  2.037  60.8
5 3 1  70.37  1.338  64.1

Structure:
Cell: 7.5768 14.3015 3.5489 Å, 90.00 90.00 90.00°
Sites, in units of the cell vectors:
Li  0.0000  0.0952  0.2500
Li  0.0000  0.9048  0.7500
Li  0.5000  0.4048  0.7500
Li  0.5000  0.5952  0.2500
Hg  0.0000  0.2542  0.7500
Hg  0.0000  0.7458  0.2500
Hg  0.2038  0.4088  0.2500
Hg  0.2038  0.5912  0.7500
Hg  0.2962  0.0912  0.7500
Hg  0.2962  0.9088  0.2500
Hg  0.5000  0.2458  0.2500
Hg  0.5000  0.7542  0.7500
Hg  0.7038  0.0912  0.7500
Hg  0.7038  0.9088  0.2500
Hg  0.7962  0.4088  0.2500
Hg  0.7962  0.5912  0.7500